The following is a simulated powder diffractogram of ZrScBe2. It was derived from a cell relaxed with PBE, using Cu Kα, 1.54184 Å.

Structure:
```
data_ZrScBe2
_chemical_formula_sum 'Zr4 Sc4 Be8'
_symmetry_space_group_name_H-M 'F -4 3 m'
_symmetry_Int_Tables_number 216
_symmetry_space_group_name_Hall 'F -4 2 3'
_cell_length_a 6.3604
_cell_length_b 6.3604
_cell_length_c 6.3604
_cell_angle_alpha 90.00
_cell_angle_beta 90.00
_cell_angle_gamma 90.00
loop_
_atom_site_label
_atom_site_fract_x
_atom_site_fract_y
_atom_site_fract_z
Zr1 0.0000 0.0000 0.0000
Sc1 0.2500 0.2500 0.2500
Be1 0.0000 0.0000 0.5000
Be2 0.2500 0.2500 0.7500
```

Most intense lines, 2θ from 10° to 90°, in order of rising 2θ:
hkl, d/Å, Rel. int.
1 1 1, 3.672, 100.0
2 0 0, 3.180, 13.2
2 2 0, 2.249, 96.0
3 1 1, 1.918, 47.6
4 0 0, 1.590, 15.3
3 3 1, 1.459, 18.7
4 2 0, 1.422, 5.0
4 2 2, 1.298, 30.2
5 1 1, 1.224, 13.5
4 4 0, 1.124, 9.6